No. 1
Co21B6Mo2: simulated powder diffraction line list (a wavelength of 1.5418 Å), based on a DFT-relaxed cell (GGA-PBE, the Materials Project).

```
data_Co21B6Mo2
_cell_length_a 10.453
_cell_length_b 10.453
_cell_length_c 10.453
_cell_angle_alpha 90.00
_cell_angle_beta 90.00
_cell_angle_gamma 90.00
_space_group_name_H-M_alt 'F m -3 m'
_space_group_IT_number 225
_space_group_name_Hall '-F 4 2 3'
loop_
_atom_site_label
_atom_site_type_symbol
_atom_site_fract_x
_atom_site_fract_y
_atom_site_fract_z
Co1 Co 0.000 0.000 0.000
Co2 Co 0.000 0.169 0.169
Co3 Co 0.118 0.118 0.382
B1 B 0.000 0.000 0.275
Mo1 Mo 0.250 0.250 0.250
```

Main lines, low angle first (2θ = 5–70°):
2theta	Rel. int.
17.0	4
28.3	2
34.3	3
38.5	37
42.4	42
45.1	100
49.3	27
51.7	26
52.5	8
55.6	5
57.8	3
58.6	11

No. 2
NaAlSiO4: simulated powder diffraction line list (a wavelength of 1.5418 Å), based on a DFT-relaxed cell (GGA-PBE, the Materials Project).

```
data_NaAlSiO4
_cell_length_a 10.404
_cell_length_b 5.223
_cell_length_c 14.184
_cell_angle_alpha 90.00
_cell_angle_beta 90.00
_cell_angle_gamma 90.00
_space_group_name_H-M_alt 'P c a 21'
_space_group_IT_number 29
loop_
_space_group_symop_operation_xyz
'x,y,z'
'-x,-y,z+1/2'
'-x+1/2,y,z+1/2'
'x+1/2,-y,z'
loop_
_atom_site_label
_atom_site_type_symbol
_atom_site_fract_x
_atom_site_fract_y
_atom_site_fract_z
Na1 Na 0.025 0.053 0.000
Na2 Na 0.214 0.553 0.752
Al1 Al 0.028 0.937 0.250
Al2 Al 0.222 0.547 0.003
Si1 Si 0.031 0.438 0.377
Si2 Si 0.222 0.046 0.626
O1 O 0.000 0.141 0.348
O2 O 0.006 0.379 0.787
O3 O 0.060 0.492 0.968
O4 O 0.071 0.993 0.652
O5 O 0.182 0.483 0.403
O6 O 0.191 0.961 0.216
O7 O 0.239 0.873 0.033
O8 O 0.247 0.350 0.601
```

Main lines, low angle first (2θ = 5–70°):
2theta	Rel. int.
21.2	100
25.5	9
26.8	7
30.8	10
31.7	9
34.3	23
34.5	23
35.1	16
36.1	6
40.1	6
51.5	6
63.5	7

No. 3
Ho2MgSe4: simulated powder diffraction line list (a wavelength of 1.5418 Å), based on a DFT-relaxed cell (GGA-PBE, the Materials Project).

```
data_Ho2MgSe4
_cell_length_a 8.045
_cell_length_b 7.775
_cell_length_c 12.085
_cell_angle_alpha 90.00
_cell_angle_beta 90.00
_cell_angle_gamma 90.00
_space_group_name_H-M_alt 'P n m a'
_space_group_IT_number 62
loop_
_space_group_symop_operation_xyz
'x,y,z'
'-x,-y,-z'
'-x+1/2,-y,z+1/2'
'x+1/2,y,-z+1/2'
'x+1/2,-y+1/2,-z+1/2'
'-x+1/2,y+1/2,z+1/2'
'-x,y+1/2,-z'
'x,-y+1/2,z'
loop_
_atom_site_label
_atom_site_type_symbol
_atom_site_fract_x
_atom_site_fract_y
_atom_site_fract_z
Ho1 Ho 0.047 0.250 0.017
Ho2 Ho 0.066 0.750 0.310
Mg1 Mg 0.169 0.250 0.398
Se1 Se 0.122 0.750 0.540
Se2 Se 0.124 0.504 0.842
Se3 Se 0.242 0.750 0.111
```

Main lines, low angle first (2θ = 5–70°):
2theta	Rel. int.
13.2	37
13.5	78
22.9	67
24.9	24
27.3	36
29.5	27
31.6	26
32.9	56
33.9	100
36.2	60
46.7	36
49.5	26

No. 4
AgI3O8: simulated powder diffraction line list (a wavelength of 1.5418 Å), based on a DFT-relaxed cell (GGA-PBE, the Materials Project).

```
data_AgI3O8
_cell_length_a 8.253
_cell_length_b 8.253
_cell_length_c 24.148
_cell_angle_alpha 90.00
_cell_angle_beta 90.00
_cell_angle_gamma 90.00
_space_group_name_H-M_alt 'I -4'
_space_group_IT_number 82
loop_
_space_group_symop_operation_xyz
'x,y,z'
'y,-x,-z'
'-x,-y,z'
'-y,x,-z'
'x+1/2,y+1/2,z+1/2'
'y+1/2,-x+1/2,-z+1/2'
'-x+1/2,-y+1/2,z+1/2'
'-y+1/2,x+1/2,-z+1/2'
loop_
_atom_site_label
_atom_site_type_symbol
_atom_site_fract_x
_atom_site_fract_y
_atom_site_fract_z
Ag1 Ag 0.000 0.000 0.130
Ag2 Ag 0.000 0.500 0.116
I1 I 0.000 0.000 0.342
I2 I 0.000 0.500 0.594
I3 I 0.220 0.750 0.219
I4 I 0.228 0.748 0.471
O1 O 0.004 0.730 0.207
O2 O 0.011 0.763 0.460
O3 O 0.048 0.167 0.706
O4 O 0.055 0.332 0.953
O5 O 0.068 0.233 0.071
O6 O 0.074 0.258 0.825
O7 O 0.084 0.238 0.338
O8 O 0.092 0.267 0.588
```

Main lines, low angle first (2θ = 5–70°):
2theta	Rel. int.
16.9	10
21.2	45
26.2	100
26.9	15
30.5	9
30.6	37
33.4	18
37.6	15
41.2	9
43.9	23
46.0	20
51.8	30

No. 5
LaYZn2: simulated powder diffraction line list (a wavelength of 1.5418 Å), based on a DFT-relaxed cell (GGA-PBE, the Materials Project).

```
data_LaYZn2
_cell_length_a 7.364
_cell_length_b 7.364
_cell_length_c 7.364
_cell_angle_alpha 90.00
_cell_angle_beta 90.00
_cell_angle_gamma 90.00
_space_group_name_H-M_alt 'F m -3 m'
_space_group_IT_number 225
_space_group_name_Hall '-F 4 2 3'
loop_
_atom_site_label
_atom_site_type_symbol
_atom_site_fract_x
_atom_site_fract_y
_atom_site_fract_z
La1 La 0.000 0.000 0.000
Y1 Y 0.000 0.000 0.500
Zn1 Zn 0.250 0.250 0.250
```

Main lines, low angle first (2θ = 5–70°):
2theta	Rel. int.
20.9	3
24.2	7
34.4	100
40.6	2
42.5	2
49.5	18
54.3	1
55.8	3
61.7	35
65.9	1

No. 6
TiFe6Ge6: simulated powder diffraction line list (a wavelength of 1.5418 Å), based on a DFT-relaxed cell (GGA-PBE, the Materials Project).

```
data_TiFe6Ge6
_cell_length_a 5.0252
_cell_length_b 5.0252
_cell_length_c 8.0497
_cell_angle_alpha 90.00
_cell_angle_beta 90.00
_cell_angle_gamma 120.00
_space_group_name_H-M_alt 'P 6/m m m'
_space_group_IT_number 191
_space_group_name_Hall '-P 6 2'
loop_
_atom_site_label
_atom_site_type_symbol
_atom_site_fract_x
_atom_site_fract_y
_atom_site_fract_z
Ti1 Ti 0.0000 0.0000 0.0000
Fe1 Fe 0.0000 0.5000 0.2484
Ge1 Ge 0.0000 0.0000 0.3371
Ge2 Ge 0.3333 0.6667 0.0000
Ge3 Ge 0.3333 0.6667 0.5000
```

Main lines, low angle first (2θ = 5–70°):
2theta	Rel. int.
20.4	9
35.7	61
39.5	25
41.5	43
42.4	81
45.0	27
47.5	100
49.7	13
49.9	30
64.2	11
66.7	10
68.8	18

No. 7
Zr3Hg: simulated powder diffraction line list (a wavelength of 1.5418 Å), based on a DFT-relaxed cell (GGA-PBE, the Materials Project).

```
data_Zr3Hg
_cell_length_a 5.610
_cell_length_b 5.610
_cell_length_c 5.610
_cell_angle_alpha 90.00
_cell_angle_beta 90.00
_cell_angle_gamma 90.00
_space_group_name_H-M_alt 'P m -3 n'
_space_group_IT_number 223
_space_group_name_Hall '-P 4n 2 3'
loop_
_atom_site_label
_atom_site_type_symbol
_atom_site_fract_x
_atom_site_fract_y
_atom_site_fract_z
Zr1 Zr 0.000 0.250 0.500
Hg1 Hg 0.000 0.000 0.000
```

Main lines, low angle first (2θ = 5–70°):
2theta	Rel. int.
22.4	26
31.9	44
35.8	52
39.3	100
45.7	5
51.5	7
56.9	1
59.4	11
61.9	53
66.7	14

No. 8
Ti3Si6N11: simulated powder diffraction line list (a wavelength of 1.5418 Å), based on a DFT-relaxed cell (GGA-PBE, the Materials Project).

```
data_Ti3Si6N11
_cell_length_a 9.723
_cell_length_b 9.723
_cell_length_c 4.811
_cell_angle_alpha 90.00
_cell_angle_beta 90.00
_cell_angle_gamma 90.00
_space_group_name_H-M_alt 'P 4 b m'
_space_group_IT_number 100
loop_
_space_group_symop_operation_xyz
'x,y,z'
'-y,x,z'
'-x,-y,z'
'y,-x,z'
'-x+1/2,y+1/2,z'
'y+1/2,x+1/2,z'
'x+1/2,-y+1/2,z'
'-y+1/2,-x+1/2,z'
loop_
_atom_site_label
_atom_site_type_symbol
_atom_site_fract_x
_atom_site_fract_y
_atom_site_fract_z
Ti1 Ti 0.000 0.000 0.000
Ti2 Ti 0.197 0.303 0.967
Si1 Si 0.083 0.797 0.562
Si2 Si 0.120 0.620 0.080
N1 N 0.000 0.500 0.126
N2 N 0.075 0.182 0.711
N3 N 0.089 0.788 0.205
N4 N 0.157 0.657 0.730
```

Main lines, low angle first (2θ = 5–70°):
2theta	Rel. int.
12.9	36
18.2	23
18.4	42
20.4	25
27.7	27
32.0	88
34.6	82
37.4	24
38.2	100
41.5	20
43.0	24
54.5	32